The following is a calculated powder X-ray diffraction pattern of K2RbIrF6. It was derived from DFT lattice parameters and positions (PBE), using Cu Kα.
Peak positions follow from Bragg's law for the DFT cell and can differ from measured ones.

Peak list (12 most intense, 2θ from 10° to 80°, in order of rising 2θ)
2θ/deg  I (rel.)
16.54  32
19.12  61
27.17  100
31.98  11
38.80  39
43.60  27
48.01  39
51.13  8
56.04  24
59.77  13
63.37  20
76.85  22

Cell and atoms:
Lattice parameters (Å, degrees): 6.564 6.564 6.564 60.00 60.00 60.00
Positions (direct):
K (0.250, 0.250, 0.250)
K (0.750, 0.750, 0.750)
Rb (0.000, 0.000, 0.000)
Ir (0.500, 0.500, 0.500)
F (0.281, 0.281, 0.719)
F (0.281, 0.719, 0.281)
F (0.281, 0.719, 0.719)
F (0.719, 0.281, 0.281)
F (0.719, 0.281, 0.719)
F (0.719, 0.719, 0.281)


The following is a calculated powder X-ray diffraction pattern of P2SO3. It was derived from DFT lattice parameters and positions (PBE), using Cu Kα.
Peak positions follow from Bragg's law for the DFT cell and can differ from measured ones.

Peak list (12 most intense, 2θ from 10° to 80°, in order of rising 2θ)
2θ/deg  I (rel.)
14.58  52
15.00  39
15.12  100
20.05  13
21.04  88
21.11  19
21.38  38
29.83  26
30.30  18
30.51  14
31.44  15
43.55  12

Cell and atoms:
Lattice parameters (Å, degrees): 11.726 6.760 12.154 90.00 90.32 90.00
Positions (direct):
P (0.129, 0.247, 0.425)
P (0.129, 0.253, 0.925)
P (0.212, 0.031, 0.619)
P (0.212, 0.469, 0.119)
P (0.322, 0.514, 0.904)
P (0.322, 0.986, 0.404)
P (0.349, 0.140, 0.023)
P (0.349, 0.360, 0.523)
P (0.651, 0.640, 0.477)
P (0.651, 0.860, 0.977)
P (0.678, 0.014, 0.596)
P (0.678, 0.486, 0.096)
P (0.788, 0.531, 0.881)
P (0.788, 0.969, 0.381)
P (0.871, 0.747, 0.075)
P (0.871, 0.753, 0.575)
S (0.000, 0.158, 0.849)
S (0.000, 0.342, 0.349)
S (0.000, 0.658, 0.651)
S (0.000, 0.842, 0.151)
S (0.395, 0.694, 0.808)
S (0.395, 0.806, 0.308)
S (0.605, 0.194, 0.692)
S (0.605, 0.306, 0.192)
O (0.108, 0.132, 0.540)
O (0.108, 0.368, 0.040)
O (0.205, 0.085, 0.356)
O (0.205, 0.415, 0.856)
O (0.225, 0.090, 0.958)
O (0.225, 0.410, 0.458)
O (0.280, 0.602, 0.021)
O (0.280, 0.898, 0.521)
O (0.300, 0.224, 0.625)
O (0.300, 0.276, 0.125)
O (0.396, 0.178, 0.439)
O (0.396, 0.322, 0.939)
O (0.604, 0.678, 0.061)
O (0.604, 0.822, 0.561)
O (0.700, 0.724, 0.875)
O (0.700, 0.776, 0.375)
O (0.720, 0.102, 0.479)
O (0.720, 0.398, 0.979)
O (0.775, 0.590, 0.542)
O (0.775, 0.910, 0.042)
O (0.795, 0.585, 0.144)
O (0.795, 0.915, 0.644)
O (0.892, 0.632, 0.960)
O (0.892, 0.868, 0.460)


The following is a calculated powder X-ray diffraction pattern of RuOF4. It was derived from DFT lattice parameters and positions (PBE), using Cu Kα.
Peak positions follow from Bragg's law for the DFT cell and can differ from measured ones.

Peak list (12 most intense, 2θ from 10° to 80°, in order of rising 2θ)
2θ/deg  I (rel.)
17.34  54
19.94  57
20.07  24
21.94  100
22.35  39
24.36  51
28.47  36
29.37  40
33.59  41
44.05  29
45.96  29
52.37  24

Cell and atoms:
Lattice parameters (Å, degrees): 6.267 8.849 8.908 90.00 133.36 90.00
Positions (direct):
Ru (0.195, 0.178, 0.149)
Ru (0.195, 0.322, 0.649)
Ru (0.805, 0.678, 0.351)
Ru (0.805, 0.822, 0.851)
O (0.177, 0.137, 0.639)
O (0.177, 0.363, 0.139)
O (0.823, 0.637, 0.861)
O (0.823, 0.863, 0.361)
F (0.019, 0.115, 0.244)
F (0.019, 0.385, 0.744)
F (0.162, 0.612, 0.619)
F (0.162, 0.888, 0.119)
F (0.385, 0.121, 0.063)
F (0.385, 0.379, 0.563)
F (0.452, 0.623, 0.088)
F (0.452, 0.877, 0.588)
F (0.548, 0.123, 0.412)
F (0.548, 0.377, 0.912)
F (0.615, 0.621, 0.437)
F (0.615, 0.879, 0.937)
F (0.838, 0.112, 0.881)
F (0.838, 0.388, 0.381)
F (0.981, 0.615, 0.256)
F (0.981, 0.885, 0.756)